Starting from the GGA-PBE geometry in the Materials Project, the X-ray powder pattern of CaGe was simulated for Cu Kα (weighted mean of Kα1 and Kα2).

Main lines, most intense first (10° ≤ 2θ ≤ 90°):
2theta  d_spacing  I (rel.)  hkl
38.76  2.323  100  1 3 1
30.69  2.913  91  1 1 1
21.01  4.228  38  1 1 0
39.27  2.294  35  2 0 0
40.01  2.254  33  0 4 1
16.28  5.443  31  0 2 0
45.11  2.010  23  0 0 2
57.31  1.608  22  2 4 1
31.43  2.846  19  1 3 0
32.91  2.722  19  0 4 0

```
CaGe
1.0
4.588 0.000 0.000
0.000 10.887 0.000
0.000 0.000 4.020
Ca Ge
4 4
Direct
0.000 0.137 0.250 Ca
0.000 0.863 0.750 Ca
0.500 0.363 0.750 Ca
0.500 0.637 0.250 Ca
0.000 0.423 0.250 Ge
0.000 0.577 0.750 Ge
0.500 0.077 0.750 Ge
0.500 0.923 0.250 Ge
```